# Li9Co7O16
Theoretical powder diffractogram, Cu Kα (λ = 1.5418 Å). Input: a structure optimized by DFT (GGA+U).

Atomic structure:
```
Li9Co7O16
1.0
9.7097 -2.8802 0.0000
9.7097 2.8802 0.0000
-0.8682 0.0000 4.9123
Li Co O
9 7 16
Direct
0.0000 0.0000 0.0000
0.1202 0.1202 0.7503
0.1244 0.6336 0.7505
0.3664 0.8756 0.2495
0.3785 0.3785 0.2553
0.6215 0.6215 0.7447
0.6336 0.1244 0.7505
0.8756 0.3664 0.2495
0.8798 0.8798 0.2497
0.0000 0.5000 0.0000
0.2465 0.7535 0.5000
0.2494 0.2494 0.5002
0.5000 0.0000 0.0000
0.5000 0.5000 0.0000
0.7506 0.7506 0.4998
0.7535 0.2465 0.5000
0.0553 0.0553 0.3975
0.0590 0.5560 0.3809
0.1921 0.1921 0.1478
0.2147 0.6763 0.1390
0.3062 0.3062 0.8527
0.3237 0.7853 0.8610
0.4440 0.9410 0.6191
0.4466 0.4466 0.6350
0.5534 0.5534 0.3650
0.5560 0.0590 0.3809
0.6763 0.2147 0.1390
0.6938 0.6938 0.1473
0.7853 0.3237 0.8610
0.8079 0.8079 0.8522
0.9410 0.4440 0.6191
0.9447 0.9447 0.6025
```

Top 10 peaks for 10 to 90 degrees two-theta, low angle first:
d [Å]  intensity
4.781  100
2.457  39
2.356  12
2.048  78
1.881  8
1.584  10
1.458  7
1.455  14
1.440  21
1.379  9